# La3SnP
Theoretical powder XRD pattern, CuKα. Input: DFT lattice parameters and positions (GGA-PBE).
Peak positions follow from Bragg's law for the DFT cell and can differ from measured ones.

Most intense lines, 10° ≤ 2θ ≤ 90°, by angle:
2θ/deg  Rel. int.  index
28.05  57  1 1 3
28.96  42  2 1 1
30.30  43  1 0 5
30.63  100  2 1 2
31.10  21  3 0 1
34.87  20  0 1 5
39.99  30  0 2 0
50.98  20  1 2 5
51.13  21  3 1 6
63.81  15  1 1 10

```
La3SnP
1.0
8.7752 0.0000 0.0000
0.0000 4.5096 0.0000
0.0000 0.0000 15.6627
La Sn P
12 4 4
Direct
0.0223 0.2500 0.1082
0.1487 0.2500 0.5117
0.1806 0.7500 0.2828
0.3194 0.2500 0.7828
0.3513 0.7500 0.0117
0.4777 0.7500 0.6082
0.5223 0.2500 0.3918
0.6487 0.2500 0.9883
0.6806 0.7500 0.2172
0.8194 0.2500 0.7172
0.8513 0.7500 0.4883
0.9777 0.7500 0.8918
0.0966 0.7500 0.6752
0.4034 0.2500 0.1752
0.5966 0.7500 0.8248
0.9034 0.2500 0.3248
0.1738 0.2500 0.9426
0.3262 0.7500 0.4426
0.6738 0.2500 0.5574
0.8262 0.7500 0.0574
```